No. 1
This entry pairs a crystal structure of Rb2NaZr3O8 with its simulated X-ray powder pattern. Radiation: Cu Kα, 1.54184 Å. Structure: a DFT-relaxed cell (PBE, Alexandria).

Principal peaks in the range 5° ≤ 2θ ≤ 70°, in order of falling intensity:
2theta  I_rel
12.88  100
29.95  88
35.83  80
16.04  64
47.41  61
25.93  59
44.08  45
31.50  44
55.50  44
32.40  44

Cell and atoms:
Cell: 6.6230 6.6230 20.6148 Å, 90.00 90.00 120.00°
Space group R3m (No. 160, hexagonal axes)
Symmetry-distinct sites (fractional):
Rb 0.0000 0.0000 0.0000
Rb 0.0000 0.0000 0.3555
Na 0.0000 0.0000 0.8337
Zr 0.9995 0.4998 0.8567
O 0.0000 0.0000 0.1371
O 0.0000 0.0000 0.5754
O 0.0436 0.5218 0.1346
O 0.1779 0.3558 0.9057

No. 2
This entry pairs a crystal structure of Rb2TiSi3O9 with its simulated X-ray powder pattern. Radiation: Cu Kα, 1.54184 Å. Structure: a DFT-relaxed cell (PBE, Alexandria).

Principal peaks in the range 5° ≤ 2θ ≤ 70°, in order of falling intensity:
2theta  I_rel
31.08  100
30.36  80
25.44  52
30.79  47
48.51  26
54.57  24
61.65  20
61.15  19
40.36  17
52.26  16

Cell and atoms:
Cell: 7.0013 7.0013 10.1024 Å, 90.00 90.00 120.00°
Space group P6_3/m (No. 176)
Symmetry-distinct sites (fractional):
Rb 0.3333 0.6667 0.0600
Ti 0.0000 0.0000 0.0000
Si 0.1406 0.3789 0.7500
O 0.0399 0.2475 0.6130
O 0.0845 0.5856 0.7500

No. 3
This entry pairs a crystal structure of Y3Tm2Mg2 with its simulated X-ray powder pattern. Radiation: Cu Kα, 1.54184 Å. Structure: a DFT-relaxed cell (PBE, Alexandria).

Principal peaks in the range 5° ≤ 2θ ≤ 70°, in order of falling intensity:
2theta  I_rel
7.72  100
32.31  63
31.22  35
36.80  30
34.40  28
63.24  24
33.17  23
26.86  21
34.96  13
44.17  11

Cell and atoms:
Cell: 5.2140 22.8920 3.4684 Å, 90.00 90.00 90.00°
Space group Cmmm (No. 65)
Symmetry-distinct sites (fractional):
Y 0.0000 0.0000 0.0000
Y 0.0000 0.1507 0.0000
Tm 0.0000 0.2879 0.5000
Mg 0.0000 0.4306 0.5000

No. 4
This entry pairs a crystal structure of Zn3P2O8 with its simulated X-ray powder pattern. Radiation: Cu Kα, 1.54184 Å. Structure: a DFT-relaxed cell (PBE, Alexandria).

Principal peaks in the range 5° ≤ 2θ ≤ 70°, in order of falling intensity:
2theta  I_rel
34.01  100
28.69  100
36.15  69
20.25  47
22.26  46
34.17  46
42.19  44
37.83  38
22.52  36
29.44  35

Cell and atoms:
Cell: 4.9695 9.3307 8.2166 Å, 90.00 126.54 90.00°
Space group P2_1/c (No. 14)
Symmetry-distinct sites (fractional):
Zn 0.0000 0.0000 0.0000
Zn 0.1526 0.1305 0.6584
P 0.3369 0.6825 0.3385
O 0.0941 0.5847 0.1533
O 0.2039 0.6622 0.8004
O 0.3149 0.1809 0.1238
O 0.3730 0.6203 0.5275

No. 5
This entry pairs a crystal structure of K6Mn3Br14 with its simulated X-ray powder pattern. Radiation: Cu Kα, 1.54184 Å. Structure: a DFT-relaxed cell (PBE, Alexandria).

Principal peaks in the range 5° ≤ 2θ ≤ 70°, in order of falling intensity:
2theta  I_rel
26.39  100
15.15  52
29.23  47
34.28  35
40.81  31
44.74  22
46.57  18
61.38  16
50.13  16
30.57  16

Cell and atoms:
Cell: 11.7024 11.7024 7.1606 Å, 90.00 90.00 120.00°
Space group P3 (No. 143)
Symmetry-distinct sites (fractional):
K 0.0480 0.4682 0.0000
K 0.2796 0.1990 0.5293
Mn 0.0000 0.0000 0.1034
Mn 0.3333 0.6667 0.5852
Mn 0.6667 0.3333 0.7404
Br 0.0000 0.0000 0.7549
Br 0.0607 0.2220 0.2355
Br 0.1860 0.7425 0.7237
Br 0.3333 0.6667 0.2372
Br 0.4691 0.2633 0.9410
Br 0.5359 0.1365 0.5437

No. 6
This entry pairs a crystal structure of Pm2AgSeO6 with its simulated X-ray powder pattern. Radiation: Cu Kα, 1.54184 Å. Structure: a DFT-relaxed cell (PBE, Alexandria).

Principal peaks in the range 5° ≤ 2θ ≤ 70°, in order of falling intensity:
2theta  I_rel
29.11  100
34.72  33
47.72  29
58.83  27
49.91  19
15.70  16
31.71  13
54.89  11
60.35  9
40.38  8

Cell and atoms:
Cell: 5.1680 5.1680 5.6441 Å, 90.00 90.00 90.00°
Space group P4mm (No. 99)
Symmetry-distinct sites (fractional):
Pm 0.0000 0.5000 0.0000
Ag 0.0000 0.0000 0.4769
Se 0.5000 0.5000 0.6196
O 0.0000 0.0000 0.0983
O 0.2646 0.2646 0.7325
O 0.5000 0.5000 0.1504

No. 7
This entry pairs a crystal structure of PmAg6Au12 with its simulated X-ray powder pattern. Radiation: Cu Kα, 1.54184 Å. Structure: a DFT-relaxed cell (PBE, Alexandria).

Principal peaks in the range 5° ≤ 2θ ≤ 70°, in order of falling intensity:
2theta  I_rel
32.16  100
39.13  85
38.53  65
42.30  46
47.52  45
32.85  39
21.17  36
43.11  29
44.70  19
66.89  18

Cell and atoms:
Cell: 12.1630 12.1630 9.1503 Å, 90.00 90.00 120.00°
Space group R-3m (No. 166, hexagonal axes)
Symmetry-distinct sites (fractional):
Pm 0.0000 0.0000 0.0000
Ag 0.0765 0.5383 0.2348
Au 0.0000 0.3869 0.5000
Au 0.0833 0.1666 0.2646

No. 8
This entry pairs a crystal structure of Ac2Pr7Dy2 with its simulated X-ray powder pattern. Radiation: Cu Kα, 1.54184 Å. Structure: a DFT-relaxed cell (PBE, Alexandria).

Principal peaks in the range 5° ≤ 2θ ≤ 70°, in order of falling intensity:
2theta  I_rel
29.74  100
30.52  58
25.83  52
27.50  48
33.25  48
31.40  44
29.87  43
33.59  42
50.59  19
59.84  18

Cell and atoms:
Cell: 11.1460 9.2216 8.4495 Å, 90.00 106.78 90.00°
Space group C2/m (No. 12)
Symmetry-distinct sites (fractional):
Ac 0.2475 0.0000 0.0619
Pr 0.0000 0.5000 0.5000
Pr 0.0428 0.0000 0.3046
Pr 0.2226 0.1932 0.6739
Dy 0.0000 0.2865 0.0000

No. 9
This entry pairs a crystal structure of Ce2Ni3Rh with its simulated X-ray powder pattern. Radiation: Cu Kα, 1.54184 Å. Structure: a DFT-relaxed cell (PBE, Alexandria).

Principal peaks in the range 5° ≤ 2θ ≤ 70°, in order of falling intensity:
2theta  I_rel
41.19  100
35.38  58
40.17  54
34.22  35
41.69  30
43.46  29
66.75  24
67.47  22
60.52  12
62.77  12

Cell and atoms:
Cell: 5.0741 5.0741 13.0556 Å, 90.00 90.00 120.00°
Space group R-3m (No. 166, hexagonal axes)
Symmetry-distinct sites (fractional):
Ce 0.0000 0.0000 0.1248
Ni 0.0000 0.5000 0.0000
Rh 0.0000 0.0000 0.5000

No. 10
This entry pairs a crystal structure of Ca5Al4 with its simulated X-ray powder pattern. Radiation: Cu Kα, 1.54184 Å. Structure: a DFT-relaxed cell (PBE, Alexandria).

Principal peaks in the range 5° ≤ 2θ ≤ 70°, in order of falling intensity:
2theta  I_rel
30.49  100
29.61  95
31.10  54
37.36  53
34.77  44
36.42  39
40.05  29
25.62  27
45.93  18
29.87  18

Cell and atoms:
Cell: 11.1143 4.8137 10.7957 Å, 90.00 113.78 90.00°
Space group C2/m (No. 12)
Symmetry-distinct sites (fractional):
Ca 0.0000 0.0000 0.0000
Ca 0.1048 0.0000 0.3971
Ca 0.2480 0.0000 0.8271
Al 0.0558 0.5000 0.8336
Al 0.1057 0.5000 0.6164

No. 11
This entry pairs a crystal structure of Ca2NiAuSe with its simulated X-ray powder pattern. Radiation: Cu Kα, 1.54184 Å. Structure: a DFT-relaxed cell (PBE, Alexandria).

Principal peaks in the range 5° ≤ 2θ ≤ 70°, in order of falling intensity:
2theta  I_rel
16.19  100
29.30  81
32.72  77
22.98  66
49.68  46
36.32  29
36.72  28
46.95  27
43.42  26
60.77  25

Cell and atoms:
Cell: 5.4733 5.4733 4.9472 Å, 90.00 90.00 90.00°
Space group P4/mmm (No. 123)
Symmetry-distinct sites (fractional):
Ca 0.0000 0.5000 0.0000
Ni 0.0000 0.0000 0.5000
Au 0.5000 0.5000 0.5000
Se 0.5000 0.5000 0.0000

No. 12
This entry pairs a crystal structure of CaBe2Nb2 with its simulated X-ray powder pattern. Radiation: Cu Kα, 1.54184 Å. Structure: a DFT-relaxed cell (PBE, Alexandria).

Principal peaks in the range 5° ≤ 2θ ≤ 70°, in order of falling intensity:
2theta  I_rel
26.12  100
40.87  77
37.28  51
35.17  44
57.90  31
53.66  25
16.43  22
42.74  22
30.87  18
47.69  13

Cell and atoms:
Cell: 7.6279 7.6279 2.8965 Å, 90.00 90.00 90.00°
Space group P4/mbm (No. 127)
Symmetry-distinct sites (fractional):
Ca 0.0000 0.0000 0.0000
Be 0.1639 0.3361 0.0000
Nb 0.1307 0.6307 0.5000

Repeat the tenth record exactly.
This entry pairs a crystal structure of Ca5Al4 with its simulated X-ray powder pattern. Radiation: Cu Kα, 1.54184 Å. Structure: a DFT-relaxed cell (PBE, Alexandria).

Principal peaks in the range 5° ≤ 2θ ≤ 70°, in order of falling intensity:
2theta  I_rel
30.49  100
29.61  95
31.10  54
37.36  53
34.77  44
36.42  39
40.05  29
25.62  27
45.93  18
29.87  18

Cell and atoms:
Cell: 11.1143 4.8137 10.7957 Å, 90.00 113.78 90.00°
Space group C2/m (No. 12)
Symmetry-distinct sites (fractional):
Ca 0.0000 0.0000 0.0000
Ca 0.1048 0.0000 0.3971
Ca 0.2480 0.0000 0.8271
Al 0.0558 0.5000 0.8336
Al 0.1057 0.5000 0.6164

Please write out number 5 again, unchanged.
This entry pairs a crystal structure of K6Mn3Br14 with its simulated X-ray powder pattern. Radiation: Cu Kα, 1.54184 Å. Structure: a DFT-relaxed cell (PBE, Alexandria).

Principal peaks in the range 5° ≤ 2θ ≤ 70°, in order of falling intensity:
2theta  I_rel
26.39  100
15.15  52
29.23  47
34.28  35
40.81  31
44.74  22
46.57  18
61.38  16
50.13  16
30.57  16

Cell and atoms:
Cell: 11.7024 11.7024 7.1606 Å, 90.00 90.00 120.00°
Space group P3 (No. 143)
Symmetry-distinct sites (fractional):
K 0.0480 0.4682 0.0000
K 0.2796 0.1990 0.5293
Mn 0.0000 0.0000 0.1034
Mn 0.3333 0.6667 0.5852
Mn 0.6667 0.3333 0.7404
Br 0.0000 0.0000 0.7549
Br 0.0607 0.2220 0.2355
Br 0.1860 0.7425 0.7237
Br 0.3333 0.6667 0.2372
Br 0.4691 0.2633 0.9410
Br 0.5359 0.1365 0.5437